Mn3SnO6: computed powder XRD pattern (CuKα), based on a DFT-relaxed cell (GGA+U, Alexandria).
Kinematic intensities with the Lorentz-polarization factor, no thermal factor.

Top 6 peaks for 10 to 90 degrees two-theta, by angle:
(hkl)	Position (°2θ)	I_rel
0 1 1	19.8	33
1 1 1	31.9	100
1 1 -3	32.7	85
0 2 0	33.7	28
2 0 -2	34.9	28
2 2 -2	49.3	34

Crystal structure
abc: 5.145 5.326 9.665
angles: 90.00 120.25 90.00
Atoms (fractional coordinates):
Mn 0.000 0.000 0.000
Mn 0.000 0.500 0.500
Mn 0.206 0.062 0.726
Mn 0.206 0.438 0.226
Mn 0.794 0.562 0.774
Mn 0.794 0.938 0.274
Sn 0.500 0.000 0.500
Sn 0.500 0.500 0.000
O 0.111 0.199 0.435
O 0.111 0.301 0.935
O 0.191 0.698 0.399
O 0.191 0.802 0.899
O 0.433 0.102 0.273
O 0.433 0.398 0.773
O 0.567 0.602 0.227
O 0.567 0.898 0.727
O 0.809 0.198 0.101
O 0.809 0.302 0.601
O 0.889 0.699 0.065
O 0.889 0.801 0.565